No. 1
Computed powder diffraction line list of TbErZn2Sn2 for CuKα, from a crystal structure in OQMD, relaxed with GGA-PBE.
Peak positions follow from Bragg's law for the DFT cell and can differ from measured ones.

Cell and atoms:
```
data_TbErZn2Sn2
_space_group_name_H-M_alt 'P 63/m m c'
_space_group_IT_number 194
_space_group_name_Hall '-P 6c 2c'
_cell_length_a 4.5012
_cell_length_b 4.5012
_cell_length_c 15.7508
_cell_angle_alpha 90.00
_cell_angle_beta 90.00
_cell_angle_gamma 120.00
loop_
_atom_site_label
_atom_site_fract_x
_atom_site_fract_y
_atom_site_fract_z
Tb1 0.0000 0.0000 0.0000
Er1 0.0000 0.0000 0.2500
Zn1 0.3333 0.6667 0.1613
Sn1 0.3333 0.6667 0.6139
```

Largest 10 diffraction maxima, low angle first, 5 to 70 degrees two-theta:
two_theta	I (rel.)
22.8	9
28.5	16
32.3	100
40.1	60
46.1	7
46.6	15
52.4	26
62.7	16
63.1	6
67.9	24


No. 2
Computed powder diffraction line list of GdZr for CuKα, from a crystal structure in OQMD, relaxed with GGA-PBE.
Peak positions follow from Bragg's law for the DFT cell and can differ from measured ones.

Cell and atoms:
```
data_GdZr
_space_group_name_H-M_alt 'A m m 2'
_space_group_IT_number 38
_space_group_name_Hall 'A 2 -2'
_cell_length_a 5.395
_cell_length_b 17.267
_cell_length_c 5.890
_cell_angle_alpha 90.00
_cell_angle_beta 90.00
_cell_angle_gamma 90.00
loop_
_atom_site_label
_atom_site_fract_x
_atom_site_fract_y
_atom_site_fract_z
Gd1 0.000 0.000 0.000
Gd2 0.000 0.195 0.035
Gd3 0.500 0.190 0.676
Zr1 0.000 0.091 0.507
Zr2 0.500 0.000 0.674
Zr3 0.500 0.091 0.206
```

Largest 10 diffraction maxima, low angle first, 5 to 70 degrees two-theta:
two_theta	I (rel.)
30.0	24
30.3	12
33.2	39
34.4	100
34.7	50
45.4	15
53.7	17
60.1	20
64.6	19
64.9	13


No. 3
Computed powder diffraction line list of Er3LuPb2N2 for CuKα, from a crystal structure in OQMD, relaxed with GGA-PBE.
Peak positions follow from Bragg's law for the DFT cell and can differ from measured ones.

Cell and atoms:
```
data_Er3LuPb2N2
_space_group_name_H-M_alt 'P 3 m 1'
_space_group_IT_number 156
_space_group_name_Hall 'P 3 -2"'
_cell_length_a 3.4996
_cell_length_b 3.4996
_cell_length_c 15.3598
_cell_angle_alpha 90.00
_cell_angle_beta 90.00
_cell_angle_gamma 120.00
loop_
_atom_site_label
_atom_site_fract_x
_atom_site_fract_y
_atom_site_fract_z
Er1 0.0000 0.0000 0.0000
Er2 0.0000 0.0000 0.3337
Er3 0.3333 0.6667 0.5009
Lu1 0.3333 0.6667 0.8349
Pb1 0.0000 0.0000 0.6688
Pb2 0.3333 0.6667 0.1666
N1 0.6667 0.3333 0.4173
N2 0.6667 0.3333 0.9140
```

Largest 10 diffraction maxima, low angle first, 5 to 70 degrees two-theta:
two_theta	I (rel.)
29.5	22
30.1	1
34.4	100
35.1	20
46.4	16
52.3	21
61.2	3
62.5	18
64.1	17
64.5	21


No. 4
Computed powder diffraction line list of HoSi2Pd for CuKα, from a crystal structure in OQMD, relaxed with GGA-PBE.
Peak positions follow from Bragg's law for the DFT cell and can differ from measured ones.

Cell and atoms:
```
data_HoSi2Pd
_space_group_name_H-M_alt 'P m n 21'
_space_group_IT_number 31
_space_group_name_Hall 'P 2ac -2'
_cell_length_a 4.037
_cell_length_b 6.179
_cell_length_c 5.569
_cell_angle_alpha 90.00
_cell_angle_beta 90.00
_cell_angle_gamma 90.00
loop_
_atom_site_label
_atom_site_fract_x
_atom_site_fract_y
_atom_site_fract_z
Ho1 0.000 0.089 0.000
Si1 0.000 0.256 0.498
Si2 0.000 0.652 0.269
Pd1 0.000 0.598 0.772
```

Largest 10 diffraction maxima, low angle first, 5 to 70 degrees two-theta:
two_theta	I (rel.)
27.3	79
31.0	91
33.2	54
35.4	85
36.6	100
42.0	71
44.9	40
58.4	40
60.4	37
67.0	29


No. 5
Computed powder diffraction line list of CsPrO3 for CuKα, from a crystal structure in OQMD, relaxed with GGA-PBE.
Peak positions follow from Bragg's law for the DFT cell and can differ from measured ones.

Cell and atoms:
```
data_CsPrO3
_space_group_name_H-M_alt 'R -3 c'
_space_group_IT_number 167
_space_group_name_Hall '-R 3 2"c'
_cell_length_a 6.6151
_cell_length_b 6.6151
_cell_length_c 16.1934
_cell_angle_alpha 90.00
_cell_angle_beta 90.00
_cell_angle_gamma 120.00
loop_
_atom_site_label
_atom_site_fract_x
_atom_site_fract_y
_atom_site_fract_z
Cs1 0.0000 0.0000 0.2500
Pr1 0.0000 0.0000 0.0000
O1 0.0000 0.4896 0.2500
```

Largest 9 diffraction maxima, low angle first, 5 to 70 degrees two-theta:
two_theta	I (rel.)
19.0	2
27.0	100
33.2	1
38.5	31
43.3	1
47.6	43
55.6	20
62.8	19
69.6	7


No. 6
Computed powder diffraction line list of Al38Co12Cu for CuKα, from a crystal structure in OQMD, relaxed with GGA-PBE.
Peak positions follow from Bragg's law for the DFT cell and can differ from measured ones.

Cell and atoms:
```
data_Al38Co12Cu
_space_group_name_H-M_alt 'C 1 m 1'
_space_group_IT_number 8
_space_group_name_Hall 'C -2y'
_cell_length_a 15.145
_cell_length_b 8.125
_cell_length_c 12.385
_cell_angle_alpha 90.00
_cell_angle_beta 108.11
_cell_angle_gamma 90.00
loop_
_atom_site_label
_atom_site_fract_x
_atom_site_fract_y
_atom_site_fract_z
Al1 0.000 0.000 0.000
Al2 0.008 0.000 0.454
Al3 0.034 0.500 0.739
Al4 0.059 0.220 0.860
Al5 0.067 0.222 0.641
Al6 0.067 0.500 0.252
Al7 0.110 0.294 0.451
Al8 0.114 0.286 0.084
Al9 0.153 0.000 0.188
Al10 0.166 0.000 0.394
Al11 0.178 0.000 0.800
Al12 0.218 0.500 0.805
Al13 0.235 0.278 0.307
Al14 0.244 0.249 0.973
Al15 0.252 0.277 0.642
Al16 0.269 0.500 0.143
Al17 0.310 0.000 0.147
Al18 0.322 0.000 0.555
Al19 0.336 0.000 0.761
Al20 0.373 0.287 0.863
Al21 0.376 0.293 0.497
Al22 0.418 0.500 0.694
Al23 0.420 0.222 0.307
Al24 0.428 0.221 0.087
Al25 0.452 0.500 0.209
Al26 0.479 0.000 0.494
Al27 0.488 0.000 0.951
Co1 0.067 0.221 0.253
Co2 0.137 0.500 0.603
Co3 0.143 0.500 0.957
Co4 0.153 0.000 0.991
Co5 0.162 0.000 0.591
Co6 0.324 0.000 0.357
Co7 0.335 0.000 0.958
Co8 0.344 0.500 0.991
Co9 0.350 0.500 0.344
Co10 0.420 0.222 0.695
Cu1 0.244 0.500 0.474
```

Largest 10 diffraction maxima, low angle first, 5 to 70 degrees two-theta:
two_theta	I (rel.)
22.7	30
25.2	49
26.7	37
27.4	33
43.7	71
43.8	100
44.5	54
44.6	76
44.8	95
45.0	75


No. 7
Computed powder diffraction line list of Ho2In2Pt3C for CuKα, from a crystal structure in OQMD, relaxed with GGA-PBE.
Peak positions follow from Bragg's law for the DFT cell and can differ from measured ones.

Cell and atoms:
```
data_Ho2In2Pt3C
_space_group_name_H-M_alt 'P 3 m 1'
_space_group_IT_number 156
_space_group_name_Hall 'P 3 -2"'
_cell_length_a 4.3850
_cell_length_b 4.3850
_cell_length_c 9.8231
_cell_angle_alpha 90.00
_cell_angle_beta 90.00
_cell_angle_gamma 120.00
loop_
_atom_site_label
_atom_site_fract_x
_atom_site_fract_y
_atom_site_fract_z
Ho1 0.0000 0.0000 0.0000
Ho2 0.3333 0.6667 0.4702
In1 0.6667 0.3333 0.2125
In2 0.6667 0.3333 0.7180
Pt1 0.0000 0.0000 0.3306
Pt2 0.0000 0.0000 0.6237
Pt3 0.3333 0.6667 0.8188
C1 0.3333 0.6667 0.0207
```

Largest 10 diffraction maxima, low angle first, 5 to 70 degrees two-theta:
two_theta	I (rel.)
9.0	22
23.4	20
25.1	14
29.7	44
36.2	100
41.2	83
43.9	17
51.6	9
56.0	29
61.7	19


No. 8
Computed powder diffraction line list of Gd2YLu5 for CuKα, from a crystal structure in OQMD, relaxed with GGA-PBE.
Peak positions follow from Bragg's law for the DFT cell and can differ from measured ones.

Cell and atoms:
```
data_Gd2YLu5
_space_group_name_H-M_alt 'A m m 2'
_space_group_IT_number 38
_space_group_name_Hall 'A 2 -2'
_cell_length_a 5.556
_cell_length_b 7.138
_cell_length_c 12.361
_cell_angle_alpha 90.00
_cell_angle_beta 90.00
_cell_angle_gamma 90.00
loop_
_atom_site_label
_atom_site_fract_x
_atom_site_fract_y
_atom_site_fract_z
Gd1 0.000 0.000 0.000
Gd2 0.500 0.000 0.333
Y1 0.500 0.000 0.832
Lu1 0.000 0.000 0.501
Lu2 0.000 0.249 0.749
Lu3 0.500 0.249 0.583
```

Largest 10 diffraction maxima, low angle first, 5 to 70 degrees two-theta:
two_theta	I (rel.)
28.9	24
32.2	24
33.2	100
43.8	16
51.2	20
58.1	20
59.9	3
61.8	22
62.4	16
69.6	4


No. 9
Computed powder diffraction line list of DyErPbC for CuKα, from a crystal structure in OQMD, relaxed with GGA-PBE.
Peak positions follow from Bragg's law for the DFT cell and can differ from measured ones.

Cell and atoms:
```
data_DyErPbC
_space_group_name_H-M_alt 'P -6 m 2'
_space_group_IT_number 187
_space_group_name_Hall 'P -6 2'
_cell_length_a 3.6178
_cell_length_b 3.6178
_cell_length_c 16.0362
_cell_angle_alpha 90.00
_cell_angle_beta 90.00
_cell_angle_gamma 120.00
loop_
_atom_site_label
_atom_site_fract_x
_atom_site_fract_y
_atom_site_fract_z
Dy1 0.0000 0.0000 0.1677
Er1 0.6667 0.3333 0.3324
Pb1 0.0000 0.0000 0.5000
Pb2 0.6667 0.3333 0.0000
C1 0.3333 0.6667 0.2515
```

Largest 10 diffraction maxima, low angle first, 5 to 70 degrees two-theta:
two_theta	I (rel.)
28.5	22
33.1	100
33.5	21
44.6	16
50.5	21
59.0	3
59.7	19
61.7	17
61.9	22
69.6	4


No. 10
Computed powder diffraction line list of Li3Pr2DyPb3 for CuKα, from a crystal structure in OQMD, relaxed with GGA-PBE.
Peak positions follow from Bragg's law for the DFT cell and can differ from measured ones.

Cell and atoms:
```
data_Li3Pr2DyPb3
_space_group_name_H-M_alt 'P -6 m 2'
_space_group_IT_number 187
_space_group_name_Hall 'P -6 2'
_cell_length_a 4.8556
_cell_length_b 4.8556
_cell_length_c 11.2166
_cell_angle_alpha 90.00
_cell_angle_beta 90.00
_cell_angle_gamma 120.00
loop_
_atom_site_label
_atom_site_fract_x
_atom_site_fract_y
_atom_site_fract_z
Li1 0.0000 0.0000 0.0000
Li2 0.6667 0.3333 0.3201
Pr1 0.3333 0.6667 0.1687
Dy1 0.3333 0.6667 0.5000
Pb1 0.0000 0.0000 0.3392
Pb2 0.6667 0.3333 0.0000
```

Largest 10 diffraction maxima, low angle first, 5 to 70 degrees two-theta:
two_theta	I (rel.)
21.1	11
22.6	50
26.5	27
32.0	100
37.0	65
38.6	16
49.8	30
62.7	28
63.6	28
66.7	12


No. 11
Computed powder diffraction line list of Y3Fe8Ni for CuKα, from a crystal structure in OQMD, relaxed with GGA-PBE.
Peak positions follow from Bragg's law for the DFT cell and can differ from measured ones.

Cell and atoms:
```
data_Y3Fe8Ni
_space_group_name_H-M_alt 'R -3 m'
_space_group_IT_number 166
_space_group_name_Hall '-R 3 2"'
_cell_length_a 5.0741
_cell_length_b 5.0741
_cell_length_c 24.4051
_cell_angle_alpha 90.00
_cell_angle_beta 90.00
_cell_angle_gamma 120.00
loop_
_atom_site_label
_atom_site_fract_x
_atom_site_fract_y
_atom_site_fract_z
Y1 0.0000 0.0000 0.0000
Y2 0.0000 0.0000 0.1419
Fe1 0.0000 0.0000 0.3327
Fe2 0.0009 0.5004 0.9189
Ni1 0.0000 0.0000 0.5000
```

Largest 10 diffraction maxima, low angle first, 5 to 70 degrees two-theta:
two_theta	I (rel.)
32.8	27
35.4	37
35.8	26
41.3	32
41.8	12
42.0	100
44.6	18
45.3	22
45.8	14
68.0	22


No. 12
Computed powder diffraction line list of Li4InNi2Pb for CuKα, from a crystal structure in OQMD, relaxed with GGA-PBE.
Peak positions follow from Bragg's law for the DFT cell and can differ from measured ones.

Cell and atoms:
```
data_Li4InNi2Pb
_space_group_name_H-M_alt 'P -4 m 2'
_space_group_IT_number 115
_space_group_name_Hall 'P -4 -2'
_cell_length_a 4.403
_cell_length_b 4.403
_cell_length_c 6.185
_cell_angle_alpha 90.00
_cell_angle_beta 90.00
_cell_angle_gamma 90.00
loop_
_atom_site_label
_atom_site_fract_x
_atom_site_fract_y
_atom_site_fract_z
Li1 0.000 0.000 0.000
Li2 0.000 0.500 0.244
Li3 0.500 0.500 0.500
In1 0.500 0.500 0.000
Ni1 0.000 0.500 0.754
Pb1 0.000 0.000 0.500
```

Largest 10 diffraction maxima, low angle first, 5 to 70 degrees two-theta:
two_theta	I (rel.)
24.8	100
28.7	11
28.9	6
41.0	27
41.1	53
48.5	33
48.8	16
59.4	9
65.3	7
65.6	13


No. 13
Computed powder diffraction line list of TbRe4SiSn for CuKα, from a crystal structure in OQMD, relaxed with GGA-PBE.
Peak positions follow from Bragg's law for the DFT cell and can differ from measured ones.

Cell and atoms:
```
data_TbRe4SiSn
_space_group_name_H-M_alt 'A m m 2'
_space_group_IT_number 38
_space_group_name_Hall 'A 2 -2'
_cell_length_a 4.153
_cell_length_b 4.185
_cell_length_c 14.867
_cell_angle_alpha 90.00
_cell_angle_beta 90.00
_cell_angle_gamma 90.00
loop_
_atom_site_label
_atom_site_fract_x
_atom_site_fract_y
_atom_site_fract_z
Tb1 0.000 0.000 0.000
Re1 0.000 0.000 0.324
Re2 0.000 0.000 0.725
Re3 0.500 0.000 0.222
Re4 0.500 0.000 0.828
Si1 0.500 0.000 0.423
Sn1 0.500 0.000 0.599
```

Largest 10 diffraction maxima, low angle first, 5 to 70 degrees two-theta:
two_theta	I (rel.)
11.9	72
23.9	9
32.3	10
35.4	100
37.1	7
43.2	81
43.6	27
49.0	8
53.2	15
63.1	18